Record 1
Starting from a GGA+U-relaxed structure, the powder XRD pattern of Na2PrWO6 was simulated for copper Kα.
No peak broadening, texture or thermal motion is included.

Crystal structure
Lattice parameters (Å, degrees): 6.0710 6.0710 6.0710 60.00 60.00 60.00
Fractional positions:
1 Na 0.2500 0.2500 0.2500
2 Na 0.7500 0.7500 0.7500
3 Pr 0.0000 0.0000 0.0000
4 W 0.5000 0.5000 0.5000
5 O 0.2735 0.2735 0.7265
6 O 0.2735 0.7265 0.2735
7 O 0.2735 0.7265 0.7265
8 O 0.7265 0.2735 0.2735
9 O 0.7265 0.2735 0.7265
10 O 0.7265 0.7265 0.2735

Peak list (6 most intense, 10° ≤ 2θ ≤ 80°, low angle first)
2θ 20.69, I = 99
2θ 29.42, I = 100
2θ 42.10, I = 35
2θ 47.35, I = 43
2θ 52.19, I = 41
2θ 61.05, I = 21


Record 2
Starting from a GGA+U-relaxed structure, the powder XRD pattern of MgMn3VCr2P6O24 was simulated for copper Kα.
No peak broadening, texture or thermal motion is included.

Crystal structure
Lattice parameters (Å, degrees): 8.6377 8.6786 8.7015 119.55 117.88 90.16
Fractional positions:
1 Mg 0.0000 0.0000 0.0000
2 Mn 0.2054 0.4075 0.8122
3 Mn 0.3576 0.1369 0.2464
4 Mn 0.8090 0.6046 0.2025
5 V 0.6414 0.8858 0.7638
6 Cr 0.2303 0.7510 0.4802
7 Cr 0.7633 0.2585 0.5120
8 P 0.5070 0.2135 0.7098
9 P 0.5141 0.5120 0.3090
10 P 0.5272 0.8155 0.0355
11 P 0.9725 0.2917 0.2799
12 P 0.9754 0.6889 0.9759
13 P 0.9927 0.0020 0.6954
14 O 0.0275 0.8509 0.5328
15 O 0.1464 0.2395 0.2905
16 O 0.1463 0.8488 0.0864
17 O 0.1549 0.0673 0.9165
18 O 0.3212 0.2439 0.6538
19 O 0.3373 0.4272 0.0993
20 O 0.3524 0.6762 0.9393
21 O 0.4723 0.6670 0.4778
22 O 0.4748 0.0053 0.6606
23 O 0.4996 0.8316 0.8482
24 O 0.5605 0.2015 0.5553
25 O 0.5634 0.0184 0.2137
26 O 0.5681 0.3720 0.3751
27 O 0.6638 0.3496 0.9319
28 O 0.6813 0.6056 0.3336
29 O 0.7031 0.7665 0.1251
30 O 0.8101 0.7559 0.8768
31 O 0.8128 0.1267 0.0550
32 O 0.8205 0.9327 0.6944
33 O 0.9456 0.2985 0.4453
34 O 0.9550 0.5006 0.7935
35 O 0.9572 0.1591 0.6585
36 O 0.9919 0.6647 0.1479
37 O 0.9942 0.4865 0.3147

Peak list (6 most intense, 10° ≤ 2θ ≤ 80°, low angle first)
2θ 20.32, I = 41
2θ 20.45, I = 100
2θ 23.25, I = 30
2θ 23.36, I = 31
2θ 23.88, I = 57
2θ 35.66, I = 44


Record 3
Starting from a GGA+U-relaxed structure, the powder XRD pattern of K2TlCrF6 was simulated for copper Kα.
No peak broadening, texture or thermal motion is included.

Crystal structure
Lattice parameters (Å, degrees): 6.4367 6.4367 6.4367 60.00 60.00 60.00
Fractional positions:
1 K 0.2500 0.2500 0.2500
2 K 0.7500 0.7500 0.7500
3 Tl 0.0000 0.0000 0.0000
4 Cr 0.5000 0.5000 0.5000
5 F 0.2873 0.2873 0.7127
6 F 0.2873 0.7127 0.2873
7 F 0.2873 0.7127 0.7127
8 F 0.7127 0.2873 0.2873
9 F 0.7127 0.2873 0.7127
10 F 0.7127 0.7127 0.2873

Peak list (6 most intense, 10° ≤ 2θ ≤ 80°, low angle first)
2θ 16.87, I = 29
2θ 19.50, I = 58
2θ 27.72, I = 100
2θ 32.63, I = 33
2θ 39.60, I = 39
2θ 49.02, I = 37


Record 4
Starting from a GGA+U-relaxed structure, the powder XRD pattern of KCoO2 was simulated for copper Kα.
No peak broadening, texture or thermal motion is included.

Crystal structure
Lattice parameters (Å, degrees): 7.0708 7.0708 6.0607 115.29 115.29 26.59
Fractional positions:
1 K 0.1294 0.1294 0.1289
2 K 0.8706 0.8706 0.8711
3 Co 0.3947 0.3947 0.3950
4 Co 0.6053 0.6053 0.6050
5 O 0.1778 0.1778 0.6774
6 O 0.4999 0.4999 0.2717
7 O 0.5001 0.5001 0.7283
8 O 0.8222 0.8222 0.3226

Peak list (6 most intense, 10° ≤ 2θ ≤ 80°, low angle first)
2θ 16.29, I = 60
2θ 28.88, I = 54
2θ 29.48, I = 81
2θ 31.21, I = 100
2θ 41.74, I = 72
2θ 43.04, I = 79


Record 5
Starting from a GGA+U-relaxed structure, the powder XRD pattern of Li9Mn2Co5O16 was simulated for copper Kα.
No peak broadening, texture or thermal motion is included.

Crystal structure
Lattice parameters (Å, degrees): 5.1198 7.6370 7.8265 98.03 101.71 103.27
Fractional positions:
1 Li 0.0000 0.0000 0.0000
2 Li 0.0005 0.1238 0.3823
3 Li 0.0003 0.6266 0.8768
4 Li 0.0015 0.3750 0.1282
5 Li 0.0009 0.4985 0.4979
6 Li 0.0049 0.8797 0.6176
7 Li 0.0086 0.7555 0.2594
8 Li 0.5042 0.0024 0.5023
9 Li 0.9955 0.2499 0.7457
10 Mn 0.4957 0.6273 0.3766
11 Mn 0.5032 0.1277 0.8734
12 Co 0.4957 0.7552 0.7436
13 Co 0.5033 0.2476 0.2599
14 Co 0.5031 0.3741 0.6244
15 Co 0.5026 0.8804 0.1345
16 Co 0.5059 0.5032 0.0025
17 O 0.2626 0.3834 0.3729
18 O 0.2684 0.8870 0.8761
19 O 0.2687 0.0067 0.2401
20 O 0.2705 0.6276 0.1421
21 O 0.2724 0.7412 0.4986
22 O 0.2824 0.1401 0.6447
23 O 0.2856 0.2555 0.9965
24 O 0.2856 0.5059 0.7530
25 O 0.7180 0.4991 0.2531
26 O 0.7204 0.6166 0.6086
27 O 0.7249 0.7426 0.0009
28 O 0.7255 0.9960 0.7624
29 O 0.7267 0.2594 0.5005
30 O 0.7294 0.1248 0.1132
31 O 0.7333 0.8616 0.3690
32 O 0.7425 0.3661 0.8801

Peak list (6 most intense, 10° ≤ 2θ ≤ 80°, low angle first)
2θ 18.36, I = 100
2θ 35.54, I = 15
2θ 35.97, I = 13
2θ 42.87, I = 29
2θ 43.57, I = 28
2θ 44.41, I = 26


Record 6
Starting from a GGA+U-relaxed structure, the powder XRD pattern of Li4Cr3O8 was simulated for copper Kα.
No peak broadening, texture or thermal motion is included.

Crystal structure
Lattice parameters (Å, degrees): 6.1144 6.1144 6.1144 56.68 56.68 56.68
Fractional positions:
1 Li 0.0000 0.0000 0.0000
2 Li 0.1431 0.1431 0.1431
3 Li 0.5000 0.5000 0.5000
4 Li 0.8569 0.8569 0.8569
5 Cr 0.0000 0.5006 0.4994
6 Cr 0.4994 0.0000 0.5006
7 Cr 0.5006 0.4994 0.0000
8 O 0.2441 0.2438 0.7155
9 O 0.2438 0.7155 0.2441
10 O 0.2647 0.2647 0.2647
11 O 0.2845 0.7562 0.7559
12 O 0.7155 0.2441 0.2438
13 O 0.7353 0.7353 0.7353
14 O 0.7559 0.2845 0.7562
15 O 0.7562 0.7559 0.2845

Peak list (6 most intense, 10° ≤ 2θ ≤ 80°, low angle first)
2θ 17.34, I = 100
2θ 18.57, I = 21
2θ 36.21, I = 29
2θ 43.02, I = 55
2θ 55.64, I = 18
2θ 64.18, I = 16


Record 7
Starting from a GGA+U-relaxed structure, the powder XRD pattern of Be2CoH6N2F8 was simulated for copper Kα.
No peak broadening, texture or thermal motion is included.

Crystal structure
Lattice parameters (Å, degrees): 5.4708 9.9352 8.1687 90.00 120.38 90.00
Fractional positions:
1 Be 0.2387 0.1952 0.4155
2 Be 0.2387 0.3048 0.9155
3 Be 0.7613 0.6952 0.0845
4 Be 0.7613 0.8048 0.5845
5 Co 0.0000 0.0000 0.0000
6 Co 0.0000 0.5000 0.5000
7 H 0.1981 0.6655 0.9065
8 H 0.1981 0.8345 0.4065
9 H 0.3809 0.5093 0.5706
10 H 0.3809 0.9907 0.0706
11 H 0.4067 0.5537 0.6552
12 H 0.4067 0.9463 0.1552
13 H 0.5933 0.0537 0.8448
14 H 0.5933 0.4463 0.3448
15 H 0.6191 0.0093 0.9294
16 H 0.6191 0.4907 0.4294
17 H 0.8019 0.1655 0.5935
18 H 0.8019 0.3345 0.0935
19 N 0.3900 0.6858 0.0298
20 N 0.3900 0.8142 0.5298
21 N 0.6100 0.1858 0.4702
22 N 0.6100 0.3142 0.9702
23 F 0.0832 0.1123 0.2255
24 F 0.0832 0.3877 0.7255
25 F 0.0997 0.1596 0.8793
26 F 0.0997 0.3404 0.3793
27 F 0.2797 0.1311 0.5919
28 F 0.2797 0.3689 0.0919
29 F 0.3308 0.6618 0.1711
30 F 0.3308 0.8382 0.6711
31 F 0.6692 0.1618 0.3289
32 F 0.6692 0.3382 0.8289
33 F 0.7203 0.6311 0.9081
34 F 0.7203 0.8689 0.4081
35 F 0.9003 0.6596 0.6207
36 F 0.9003 0.8404 0.1207
37 F 0.9168 0.6123 0.2745
38 F 0.9168 0.8877 0.7745

Peak list (6 most intense, 10° ≤ 2θ ≤ 80°, low angle first)
2θ 18.78, I = 100
2θ 26.04, I = 29
2θ 29.00, I = 72
2θ 29.81, I = 53
2θ 34.63, I = 44
2θ 43.02, I = 36